No. 1
Diffraction record for HoH2F5. The XRD peak list is theoretical, not measured: it uses DFT lattice parameters and positions (PBE) and Cu Kα.
Kinematic intensities with the Lorentz-polarization factor, no thermal factor.

Cell and atoms:
```
data_HoH2F5
_chemical_formula_sum 'Ho1 H2 F5'
_space_group_name_H-M_alt 'P -1'
_space_group_IT_number 2
_cell_length_a 4.444
_cell_length_b 5.098
_cell_length_c 5.103
_cell_angle_alpha 79.11
_cell_angle_beta 64.20
_cell_angle_gamma 64.28
loop_
_space_group_symop_operation_xyz
'x,y,z'
'-x,-y,-z'
loop_
_atom_site_label
_atom_site_type_symbol
_atom_site_fract_x
_atom_site_fract_y
_atom_site_fract_z
Ho1 Ho 0.000 0.000 0.000
H1 H 0.000 0.500 0.500
H2 H 0.500 0.500 0.500
F1 F 0.054 0.277 0.615
F2 F 0.331 0.615 0.723
F3 F 0.500 0.000 0.000
```

Principal peaks in the range 2θ = 10–90°, in order of falling intensity:
- 24.27 deg, I 100
- 19.32 deg, I 66
- 27.46 deg, I 55
- 44.08 deg, I 34
- 36.97 deg, I 34
- 46.66 deg, I 27
- 54.99 deg, I 23
- 49.71 deg, I 21

=====

No. 2
Diffraction record for H2IF2. The XRD peak list is theoretical, not measured: it uses DFT lattice parameters and positions (PBE) and Cu Kα.
Kinematic intensities with the Lorentz-polarization factor, no thermal factor.

Cell and atoms:
```
data_H2IF2
_chemical_formula_sum 'H8 I4 F8'
_space_group_name_H-M_alt 'I 41 m d'
_space_group_IT_number 109
_space_group_name_Hall 'I 4bw -2'
_cell_length_a 6.202
_cell_length_b 6.202
_cell_length_c 8.365
_cell_angle_alpha 90.00
_cell_angle_beta 90.00
_cell_angle_gamma 90.00
loop_
_atom_site_label
_atom_site_type_symbol
_atom_site_fract_x
_atom_site_fract_y
_atom_site_fract_z
H1 H 0.000 0.278 0.000
I1 I 0.000 0.000 0.282
F1 F 0.000 0.235 0.891
```

Principal peaks in the range 2θ = 10–90°, in order of falling intensity:
- 34.06 deg, I 100
- 29.51 deg, I 99
- 17.80 deg, I 92
- 28.79 deg, I 52
- 35.29 deg, I 43
- 51.46 deg, I 40
- 54.46 deg, I 25
- 52.80 deg, I 19

=====

No. 3
Diffraction record for RbH2IF2. The XRD peak list is theoretical, not measured: it uses DFT lattice parameters and positions (PBE) and Cu Kα.
Kinematic intensities with the Lorentz-polarization factor, no thermal factor.

Cell and atoms:
```
data_RbH2IF2
_chemical_formula_sum 'Rb2 H4 I2 F4'
_space_group_name_H-M_alt 'P 1 21/m 1'
_space_group_IT_number 11
_cell_length_a 7.098
_cell_length_b 4.212
_cell_length_c 9.738
_cell_angle_alpha 90.00
_cell_angle_beta 107.41
_cell_angle_gamma 90.00
loop_
_space_group_symop_operation_xyz
'x,y,z'
'-x,-y,-z'
'-x,y+1/2,-z'
'x,-y+1/2,z'
loop_
_atom_site_label
_atom_site_type_symbol
_atom_site_fract_x
_atom_site_fract_y
_atom_site_fract_z
Rb1 Rb 0.193 0.250 0.356
H1 H 0.245 0.503 0.005
I1 I 0.313 0.750 0.661
F1 F 0.174 0.250 0.976
F2 F 0.305 0.750 0.046
```

Principal peaks in the range 2θ = 10–90°, in order of falling intensity:
- 23.19 deg, I 100
- 28.61 deg, I 99
- 28.83 deg, I 60
- 26.32 deg, I 46
- 25.15 deg, I 45
- 33.97 deg, I 45
- 34.97 deg, I 41
- 37.54 deg, I 31

=====

No. 4
Diffraction record for TlHIF6. The XRD peak list is theoretical, not measured: it uses DFT lattice parameters and positions (PBE) and Cu Kα.
Kinematic intensities with the Lorentz-polarization factor, no thermal factor.

Cell and atoms:
```
data_TlHIF6
_chemical_formula_sum 'Tl1 H1 I1 F6'
_space_group_name_H-M_alt 'P 1'
_space_group_IT_number 1
_cell_length_a 4.434
_cell_length_b 5.787
_cell_length_c 6.496
_cell_angle_alpha 88.98
_cell_angle_beta 86.80
_cell_angle_gamma 73.78
loop_
_space_group_symop_operation_xyz
'x,y,z'
loop_
_atom_site_label
_atom_site_type_symbol
_atom_site_fract_x
_atom_site_fract_y
_atom_site_fract_z
Tl1 Tl 0.000 0.000 0.000
H1 H 0.489 0.885 0.353
I1 I 0.102 0.491 0.499
F1 F 0.208 0.642 0.758
F2 F 0.278 0.730 0.301
F3 F 0.505 0.000 0.956
F4 F 0.622 0.990 0.378
F5 F 0.932 0.264 0.678
F6 F 0.981 0.347 0.240
```

Principal peaks in the range 2θ = 10–90°, in order of falling intensity:
- 21.05 deg, I 100
- 20.90 deg, I 47
- 27.02 deg, I 24
- 25.81 deg, I 22
- 42.83 deg, I 19
- 27.50 deg, I 18
- 32.22 deg, I 16
- 44.99 deg, I 16

=====

No. 5
Diffraction record for InH3F3. The XRD peak list is theoretical, not measured: it uses DFT lattice parameters and positions (PBE) and Cu Kα.
Kinematic intensities with the Lorentz-polarization factor, no thermal factor.

Cell and atoms:
```
data_InH3F3
_chemical_formula_sum 'In2 H6 F6'
_space_group_name_H-M_alt 'P 1 2/c 1'
_space_group_IT_number 13
_cell_length_a 7.429
_cell_length_b 4.349
_cell_length_c 7.655
_cell_angle_alpha 90.00
_cell_angle_beta 120.28
_cell_angle_gamma 90.00
loop_
_space_group_symop_operation_xyz
'x,y,z'
'-x,-y,-z'
'-x,y,-z+1/2'
'x,-y,z+1/2'
loop_
_atom_site_label
_atom_site_type_symbol
_atom_site_fract_x
_atom_site_fract_y
_atom_site_fract_z
In1 In 0.000 0.003 0.250
H1 H 0.394 0.183 0.696
H2 H 0.500 0.337 0.750
F1 F 0.000 0.497 0.750
F2 F 0.241 0.013 0.618
```

Principal peaks in the range 2θ = 10–90°, in order of falling intensity:
- 13.80 deg, I 100
- 20.42 deg, I 43
- 24.73 deg, I 27
- 27.28 deg, I 22
- 26.97 deg, I 22
- 36.31 deg, I 16
- 36.79 deg, I 15
- 23.24 deg, I 13

=====

No. 6
Diffraction record for ZnInH14O7F5. The XRD peak list is theoretical, not measured: it uses DFT lattice parameters and positions (PBE) and Cu Kα.
Kinematic intensities with the Lorentz-polarization factor, no thermal factor.

Cell and atoms:
```
data_ZnInH14O7F5
_chemical_formula_sum 'Zn2 In2 H28 O14 F10'
_space_group_name_H-M_alt 'P -1'
_space_group_IT_number 2
_cell_length_a 6.635
_cell_length_b 9.122
_cell_length_c 9.132
_cell_angle_alpha 103.33
_cell_angle_beta 96.66
_cell_angle_gamma 97.89
loop_
_space_group_symop_operation_xyz
'x,y,z'
'-x,-y,-z'
loop_
_atom_site_label
_atom_site_type_symbol
_atom_site_fract_x
_atom_site_fract_y
_atom_site_fract_z
Zn1 Zn 0.000 0.000 0.000
Zn2 Zn 0.000 0.500 0.500
In1 In 0.500 0.000 0.500
In2 In 0.500 0.500 0.000
H1 H 0.030 0.483 0.798
H2 H 0.047 0.722 0.829
H3 H 0.058 0.812 0.538
H4 H 0.110 0.228 0.852
H5 H 0.122 0.067 0.737
H6 H 0.181 0.248 0.475
H7 H 0.185 0.860 0.261
H8 H 0.198 0.484 0.249
H9 H 0.253 0.802 0.942
H10 H 0.340 0.139 0.222
H11 H 0.389 0.164 0.061
H12 H 0.391 0.805 0.205
H13 H 0.398 0.532 0.649
H14 H 0.402 0.661 0.560
O1 O 0.042 0.118 0.815
O2 O 0.051 0.278 0.505
O3 O 0.051 0.461 0.263
O4 O 0.130 0.824 0.884
O5 O 0.301 0.100 0.111
O6 O 0.316 0.568 0.570
O7 O 0.325 0.837 0.298
F1 F 0.189 0.411 0.907
F2 F 0.233 0.976 0.600
F3 F 0.401 0.183 0.417
F4 F 0.436 0.500 0.219
F5 F 0.454 0.734 0.034
```

Principal peaks in the range 2θ = 10–90°, in order of falling intensity:
- 20.26 deg, I 100
- 18.81 deg, I 61
- 18.57 deg, I 59
- 18.32 deg, I 57
- 23.13 deg, I 35
- 31.26 deg, I 25
- 27.47 deg, I 24
- 34.83 deg, I 23

=====

No. 7
Diffraction record for SrInH2F8. The XRD peak list is theoretical, not measured: it uses DFT lattice parameters and positions (PBE) and Cu Kα.
Kinematic intensities with the Lorentz-polarization factor, no thermal factor.

Cell and atoms:
```
data_SrInH2F8
_chemical_formula_sum 'Sr1 In1 H2 F8'
_space_group_name_H-M_alt 'P -1'
_space_group_IT_number 2
_cell_length_a 4.405
_cell_length_b 4.560
_cell_length_c 8.356
_cell_angle_alpha 89.92
_cell_angle_beta 89.92
_cell_angle_gamma 64.95
loop_
_space_group_symop_operation_xyz
'x,y,z'
'-x,-y,-z'
loop_
_atom_site_label
_atom_site_type_symbol
_atom_site_fract_x
_atom_site_fract_y
_atom_site_fract_z
Sr1 Sr 0.000 0.000 0.000
In1 In 0.000 0.000 0.500
H1 H 0.500 0.500 0.287
F1 F 0.253 0.731 0.716
F2 F 0.254 0.732 0.284
F3 F 0.274 0.266 0.500
F4 F 0.365 0.290 0.000
```

Principal peaks in the range 2θ = 10–90°, in order of falling intensity:
- 43.37 deg, I 100
- 21.27 deg, I 84
- 23.54 deg, I 78
- 30.43 deg, I 64
- 21.51 deg, I 58
- 22.28 deg, I 47
- 30.99 deg, I 46
- 45.51 deg, I 39

=====

No. 8
Diffraction record for RbLiHIrF. The XRD peak list is theoretical, not measured: it uses DFT lattice parameters and positions (PBE) and Cu Kα.
Kinematic intensities with the Lorentz-polarization factor, no thermal factor.

Cell and atoms:
```
data_RbLiHIrF
_chemical_formula_sum 'Rb2 Li2 H2 Ir2 F2'
_space_group_name_H-M_alt 'A m m 2'
_space_group_IT_number 38
_cell_length_a 2.892
_cell_length_b 3.320
_cell_length_c 15.384
_cell_angle_alpha 90.00
_cell_angle_beta 90.00
_cell_angle_gamma 90.00
loop_
_space_group_symop_operation_xyz
'x,y,z'
'-x,-y,z'
'-x,y,z'
'x,-y,z'
'x,y+1/2,z+1/2'
'-x,-y+1/2,z+1/2'
'-x,y+1/2,z+1/2'
'x,-y+1/2,z+1/2'
loop_
_atom_site_label
_atom_site_type_symbol
_atom_site_fract_x
_atom_site_fract_y
_atom_site_fract_z
Rb1 Rb 0.000 0.000 0.000
Li1 Li 0.000 0.000 0.307
H1 H 0.500 0.000 0.212
Ir1 Ir 0.500 0.000 0.681
F1 F 0.500 0.000 0.391
```

Principal peaks in the range 2θ = 10–90°, in order of falling intensity:
- 11.50 deg, I 100
- 32.12 deg, I 99
- 41.83 deg, I 67
- 33.09 deg, I 63
- 23.13 deg, I 51
- 38.96 deg, I 41
- 27.48 deg, I 40
- 51.35 deg, I 37

=====

No. 9
Diffraction record for K2H6F. The XRD peak list is theoretical, not measured: it uses DFT lattice parameters and positions (PBE) and Cu Kα.
Kinematic intensities with the Lorentz-polarization factor, no thermal factor.

Cell and atoms:
```
data_K2H6F
_chemical_formula_sum 'K8 H24 F4'
_space_group_name_H-M_alt 'F m -3 m'
_space_group_IT_number 225
_space_group_name_Hall '-F 4 2 3'
_cell_length_a 7.537
_cell_length_b 7.537
_cell_length_c 7.537
_cell_angle_alpha 90.00
_cell_angle_beta 90.00
_cell_angle_gamma 90.00
loop_
_atom_site_label
_atom_site_type_symbol
_atom_site_fract_x
_atom_site_fract_y
_atom_site_fract_z
K1 K 0.250 0.250 0.250
H1 H 0.000 0.000 0.127
F1 F 0.000 0.000 0.500
```

Principal peaks in the range 2θ = 10–90°, in order of falling intensity:
- 33.63 deg, I 100
- 23.61 deg, I 36
- 60.14 deg, I 27
- 48.30 deg, I 15
- 54.44 deg, I 15
- 41.50 deg, I 12
- 80.62 deg, I 11
- 70.71 deg, I 8

=====

No. 10
Diffraction record for K7HF5. The XRD peak list is theoretical, not measured: it uses DFT lattice parameters and positions (PBE) and Cu Kα.
Kinematic intensities with the Lorentz-polarization factor, no thermal factor.

Cell and atoms:
```
data_K7HF5
_chemical_formula_sum 'K28 H4 F20'
_space_group_name_H-M_alt 'C 1 m 1'
_space_group_IT_number 8
_cell_length_a 12.812
_cell_length_b 3.847
_cell_length_c 27.246
_cell_angle_alpha 90.00
_cell_angle_beta 90.16
_cell_angle_gamma 90.00
loop_
_space_group_symop_operation_xyz
'x,y,z'
'x,-y,z'
'x+1/2,y+1/2,z'
'x+1/2,-y+1/2,z'
loop_
_atom_site_label
_atom_site_type_symbol
_atom_site_fract_x
_atom_site_fract_y
_atom_site_fract_z
K1 K 0.000 0.000 0.000
K2 K 0.001 0.000 0.442
K3 K 0.016 0.500 0.124
K4 K 0.043 0.500 0.323
K5 K 0.187 0.000 0.623
K6 K 0.209 0.000 0.821
K7 K 0.224 0.500 0.945
K8 K 0.228 0.500 0.503
K9 K 0.272 0.000 0.062
K10 K 0.274 0.000 0.384
K11 K 0.294 0.500 0.257
K12 K 0.435 0.500 0.688
K13 K 0.452 0.000 0.882
K14 K 0.455 0.000 0.561
H1 H 0.046 0.500 0.647
H2 H 0.183 0.000 0.298
F1 F 0.092 0.000 0.908
F2 F 0.095 0.000 0.532
F3 F 0.133 0.500 0.036
F4 F 0.135 0.500 0.414
F5 F 0.315 0.500 0.860
F6 F 0.323 0.500 0.596
F7 F 0.362 0.000 0.972
F8 F 0.365 0.000 0.473
F9 F 0.407 0.500 0.349
F10 F 0.409 0.500 0.085
```

Principal peaks in the range 2θ = 10–90°, in order of falling intensity:
- 32.85 deg, I 100
- 32.73 deg, I 72
- 34.01 deg, I 65
- 47.00 deg, I 51
- 32.00 deg, I 44
- 26.79 deg, I 43
- 47.26 deg, I 31
- 27.53 deg, I 30

=====

No. 11
Diffraction record for K2H5F7. The XRD peak list is theoretical, not measured: it uses DFT lattice parameters and positions (PBE) and Cu Kα.
Kinematic intensities with the Lorentz-polarization factor, no thermal factor.

Cell and atoms:
```
data_K2H5F7
_chemical_formula_sum 'K8 H20 F28'
_space_group_name_H-M_alt 'P 1 21/c 1'
_space_group_IT_number 14
_cell_length_a 10.196
_cell_length_b 8.541
_cell_length_c 8.400
_cell_angle_alpha 90.00
_cell_angle_beta 101.75
_cell_angle_gamma 90.00
loop_
_space_group_symop_operation_xyz
'x,y,z'
'-x,-y,-z'
'-x,y+1/2,-z+1/2'
'x,-y+1/2,z+1/2'
loop_
_atom_site_label
_atom_site_type_symbol
_atom_site_fract_x
_atom_site_fract_y
_atom_site_fract_z
K1 K 0.000 0.250 0.001
K2 K 0.465 0.226 0.365
H1 H 0.151 0.503 0.288
H2 H 0.153 0.026 0.288
H3 H 0.269 0.692 0.817
H4 H 0.282 0.026 0.624
H5 H 0.283 0.027 0.017
F1 F 0.145 0.628 0.785
F2 F 0.150 0.502 0.423
F3 F 0.151 0.502 0.150
F4 F 0.157 0.147 0.290
F5 F 0.362 0.742 0.841
F6 F 0.375 0.051 0.612
F7 F 0.375 0.054 0.075
```

Principal peaks in the range 2θ = 10–90°, in order of falling intensity:
- 32.80 deg, I 100
- 27.49 deg, I 58
- 32.68 deg, I 29
- 38.14 deg, I 26
- 41.93 deg, I 25
- 30.90 deg, I 25
- 17.77 deg, I 21
- 43.08 deg, I 20